Entry 1:
Diffraction record for MnH6C2O6. The powder diffractogram is calculated, not measured: it uses a structure optimized by DFT (PBE+U) and Cu Kα.
Kinematic intensities with the Lorentz-polarization factor, no thermal factor.

Principal peaks in the range 2θ from 15° to 90°, by angle:
d (Å)	two_theta	intensity
5.064	17.51	1000
4.796	18.50	483
4.715	18.82	623
4.438	20.01	289
3.522	25.28	314
3.438	25.91	204
2.921	30.61	164
2.726	32.85	336
2.692	33.28	331
2.279	39.55	199

Cell and atoms:
a b c (Å): 8.9486 7.3663 9.6700
angles (deg): 90.00 97.32 90.00
Space group P2_1/c (No. 14)
One atom of each set of equivalent atoms:
1 Mn 0.0000 0.0000 0.0000 [2 per cell]
2 Mn 0.5000 0.0000 0.5000 [2 per cell]
3 H 0.0341 0.1473 0.2822 [4 per cell]
4 H 0.1716 0.0259 0.6082 [4 per cell]
5 H 0.1967 0.0977 0.2393 [4 per cell]
6 H 0.2691 0.6085 0.4589 [4 per cell]
7 H 0.2948 0.1030 0.9929 [4 per cell]
8 H 0.4370 0.7176 0.7289 [4 per cell]
9 C 0.1743 0.6141 0.0669 [4 per cell]
10 C 0.4590 0.2157 0.2216 [4 per cell]
11 O 0.0633 0.7163 0.0814 [4 per cell]
12 O 0.0887 0.1107 0.2031 [4 per cell]
13 O 0.2290 0.0155 0.9354 [4 per cell]
14 O 0.2892 0.6609 0.0092 [4 per cell]
15 O 0.3969 0.0990 0.2924 [4 per cell]
16 O 0.4094 0.2388 0.5973 [4 per cell]

=====

Entry 2:
Diffraction record for Li4FeBiTe2O12. The powder diffractogram is calculated, not measured: it uses a structure optimized by DFT (PBE+U) and Cu Kα.
Kinematic intensities with the Lorentz-polarization factor, no thermal factor.

Principal peaks in the range 2θ from 15° to 90°, by angle:
d (Å)	two_theta	intensity
3.800	23.41	1000
3.783	23.52	496
2.750	32.56	410
2.743	32.64	202
2.623	34.19	409
2.157	41.88	265
1.900	47.88	178
1.732	52.85	212
1.668	55.07	177
1.538	60.15	155

Cell and atoms:
a b c (Å): 5.2411 5.4995 7.6238
angles (deg): 86.10 89.98 89.79
Space group P1 (No. 1)
One atom of each set of equivalent atoms:
1 Li 0.0000 0.0000 0.0000 [1 per cell]
2 Li 0.0091 0.9974 0.5478 [1 per cell]
3 Li 0.4944 0.4471 0.9839 [1 per cell]
4 Li 0.5043 0.4671 0.5441 [1 per cell]
5 Fe 0.0028 0.4263 0.7386 [1 per cell]
6 Bi 0.5015 0.9126 0.2413 [1 per cell]
7 Te 0.0015 0.4138 0.2368 [1 per cell]
8 Te 0.5035 0.9111 0.7378 [1 per cell]
9 O 0.1263 0.3797 0.9981 [1 per cell]
10 O 0.1512 0.0877 0.3030 [1 per cell]
11 O 0.2150 0.7157 0.6657 [1 per cell]
12 O 0.3057 0.2006 0.6727 [1 per cell]
13 O 0.3247 0.5622 0.3032 [1 per cell]
14 O 0.3614 0.8808 0.9784 [1 per cell]
15 O 0.6492 0.8932 0.4977 [1 per cell]
16 O 0.6801 0.5986 0.7846 [1 per cell]
17 O 0.7017 0.2337 0.1484 [1 per cell]
18 O 0.8057 0.0904 0.7870 [1 per cell]
19 O 0.8340 0.7178 0.1524 [1 per cell]
20 O 0.8730 0.4022 0.4720 [1 per cell]

=====

Entry 3:
Diffraction record for LiFePO5. The powder diffractogram is calculated, not measured: it uses a structure optimized by DFT (PBE+U) and Cu Kα.
Kinematic intensities with the Lorentz-polarization factor, no thermal factor.

Principal peaks in the range 2θ from 15° to 90°, by angle:
d (Å)	two_theta	intensity
4.980	17.81	197
4.664	19.03	191
4.155	21.38	155
3.260	27.36	1000
3.210	27.80	413
2.332	38.61	154
2.078	43.56	124
1.886	48.24	116
1.630	56.47	332
1.592	57.92	122

Cell and atoms:
a b c (Å): 13.3065 5.3200 10.7095
angles (deg): 90.00 111.58 90.00
Space group C2/c (No. 15)
One atom of each set of equivalent atoms:
1 Li 0.0000 0.0102 0.2500 [4 per cell]
2 Li 0.2500 0.2500 0.0000 [4 per cell]
3 Fe 0.0000 0.0000 0.0000 [4 per cell]
4 Fe 0.2500 0.2500 0.5000 [4 per cell]
5 P 0.1241 0.4947 0.6840 [8 per cell]
6 O 0.0501 0.2589 0.6474 [8 per cell]
7 O 0.0596 0.2571 0.1467 [8 per cell]
8 O 0.1274 0.0353 0.4582 [8 per cell]
9 O 0.1860 0.4963 0.8366 [8 per cell]
10 O 0.2009 0.4889 0.6037 [8 per cell]

=====

Entry 4:
Diffraction record for Li2FeF4. The powder diffractogram is calculated, not measured: it uses a structure optimized by DFT (PBE+U) and Cu Kα.
Kinematic intensities with the Lorentz-polarization factor, no thermal factor.

Principal peaks in the range 2θ from 15° to 90°, by angle:
d (Å)	two_theta	intensity
5.158	17.19	748
3.637	24.48	1000
2.816	31.77	183
2.579	34.79	362
2.361	38.11	249
2.325	38.73	192
1.825	49.98	213
1.820	50.12	245
1.746	52.40	231
1.528	60.58	268

Cell and atoms:
a b c (Å): 5.6327 5.3727 5.8671
angles (deg): 90.00 118.45 90.00
Space group P2_1 (No. 4)
One atom of each set of equivalent atoms:
1 Li 0.1276 0.0000 0.1805 [2 per cell]
2 Li 0.3472 0.9500 0.8225 [2 per cell]
3 Fe 0.2550 0.4692 0.5031 [2 per cell]
4 F 0.0106 0.7969 0.3789 [2 per cell]
5 F 0.0152 0.8315 0.8551 [2 per cell]
6 F 0.4590 0.1215 0.5969 [2 per cell]
7 F 0.4933 0.1193 0.1472 [2 per cell]

=====

Entry 5:
Diffraction record for Li2V3P4O14. The powder diffractogram is calculated, not measured: it uses a structure optimized by DFT (PBE+U) and Cu Kα.
Kinematic intensities with the Lorentz-polarization factor, no thermal factor.

Principal peaks in the range 2θ from 15° to 90°, by angle:
d (Å)	two_theta	intensity
5.217	17.00	285
4.132	21.50	328
3.527	25.25	453
3.237	27.56	495
3.144	28.39	253
3.061	29.18	1000
3.011	29.67	653
2.921	30.61	359
2.804	31.92	271
2.778	32.22	764

Cell and atoms:
a b c (Å): 5.3385 6.6253 16.0322
angles (deg): 81.68 83.47 72.27
Space group P-1 (No. 2)
One atom of each set of equivalent atoms:
1 Li 0.0729 0.2153 0.4929 [2 per cell]
2 Li 0.3616 0.6832 0.6199 [2 per cell]
3 V 0.0353 0.6219 0.3152 [2 per cell]
4 V 0.1606 0.2861 0.0784 [2 per cell]
5 V 0.2513 0.9701 0.8324 [2 per cell]
6 P 0.1672 0.0954 0.2899 [2 per cell]
7 P 0.2776 0.7843 0.0389 [2 per cell]
8 P 0.3741 0.4446 0.8176 [2 per cell]
9 P 0.4387 0.7572 0.4266 [2 per cell]
10 O 0.0234 0.0348 0.7169 [2 per cell]
11 O 0.0244 0.2881 0.3395 [2 per cell]
12 O 0.1098 0.9738 0.0850 [2 per cell]
13 O 0.1240 0.6254 0.0337 [2 per cell]
14 O 0.1895 0.6619 0.8391 [2 per cell]
15 O 0.2178 0.3068 0.7906 [2 per cell]
16 O 0.2599 0.3210 0.5720 [2 per cell]
17 O 0.2873 0.8579 0.5054 [2 per cell]
18 O 0.3244 0.1439 0.2076 [2 per cell]
19 O 0.3250 0.5832 0.4074 [2 per cell]
20 O 0.3968 0.9484 0.3490 [2 per cell]
21 O 0.3994 0.5294 0.2429 [2 per cell]
22 O 0.4170 0.8497 0.9547 [2 per cell]
23 O 0.4701 0.3276 0.9081 [2 per cell]

=====

Entry 6:
Diffraction record for LaCrSbO6. The powder diffractogram is calculated, not measured: it uses a structure optimized by DFT (PBE+U) and Cu Kα.
Kinematic intensities with the Lorentz-polarization factor, no thermal factor.

Principal peaks in the range 2θ from 15° to 90°, by angle:
d (Å)	two_theta	intensity
4.535	19.57	332
4.486	19.79	1000
2.770	32.31	669
2.753	32.53	614
2.740	32.68	643
2.357	38.18	214
2.344	38.40	256
1.955	46.45	217
1.948	46.63	229
1.941	46.81	221

Cell and atoms:
a b c (Å): 5.4775 5.4847 5.5139
angles (deg): 90.20 119.46 119.79
Space group P1 (No. 1)
One atom of each set of equivalent atoms:
1 La 0.0000 0.0000 0.0000 [1 per cell]
2 Cr 0.4954 0.7456 0.2451 [1 per cell]
3 Sb 0.5011 0.2486 0.7453 [1 per cell]
4 O 0.9995 0.4871 0.9306 [1 per cell]
5 O 0.0026 0.0037 0.5686 [1 per cell]
6 O 0.4232 0.9573 0.4447 [1 per cell]
7 O 0.4338 0.4566 0.4404 [1 per cell]
8 O 0.5655 0.0245 0.0284 [1 per cell]
9 O 0.5793 0.5542 0.0237 [1 per cell]

=====

Entry 7:
Diffraction record for Na3CoPCO7. The powder diffractogram is calculated, not measured: it uses a structure optimized by DFT (PBE+U) and Cu Kα.
Kinematic intensities with the Lorentz-polarization factor, no thermal factor.

Principal peaks in the range 2θ from 15° to 90°, by angle:
d (Å)	two_theta	intensity
5.375	16.49	279
4.582	19.37	290
4.461	19.90	368
3.367	26.47	962
2.713	33.01	554
2.687	33.34	995
2.621	34.21	1000
2.169	41.64	306
1.859	48.99	471
1.684	54.48	472

Cell and atoms:
a b c (Å): 8.5351 8.5357 10.2143
angles (deg): 107.41 107.41 104.16
Space group P-1 (No. 2)
One atom of each set of equivalent atoms:
1 Na 0.0104 0.0187 0.2728 [2 per cell]
2 Na 0.0534 0.3035 0.0828 [2 per cell]
3 Na 0.2314 0.7396 0.7272 [2 per cell]
4 Na 0.2684 0.7602 0.2727 [2 per cell]
5 Na 0.4466 0.1966 0.9172 [2 per cell]
6 Na 0.4895 0.4814 0.7272 [2 per cell]
7 Co 0.0632 0.3134 0.6538 [2 per cell]
8 Co 0.4368 0.1869 0.3467 [2 per cell]
9 P 0.1909 0.4408 0.4157 [2 per cell]
10 P 0.3092 0.0592 0.5844 [2 per cell]
11 C 0.2383 0.4883 0.9390 [2 per cell]
12 C 0.2617 0.0118 0.0609 [2 per cell]
13 O 0.0597 0.3099 0.4484 [2 per cell]
14 O 0.0850 0.5198 0.3173 [2 per cell]
15 O 0.0962 0.3469 0.8809 [2 per cell]
16 O 0.1640 0.9141 0.4343 [2 per cell]
17 O 0.1772 0.9271 0.9175 [2 per cell]
18 O 0.2088 0.9585 0.1531 [2 per cell]
19 O 0.2302 0.1653 0.6826 [2 per cell]
20 O 0.2696 0.3347 0.3173 [2 per cell]
21 O 0.2914 0.5410 0.8467 [2 per cell]
22 O 0.3229 0.5729 0.0823 [2 per cell]
23 O 0.3360 0.5860 0.5657 [2 per cell]
24 O 0.4033 0.1536 0.1192 [2 per cell]
25 O 0.4153 0.9802 0.6826 [2 per cell]
26 O 0.4402 0.1902 0.5516 [2 per cell]

=====

Entry 8:
Diffraction record for FeOF. The powder diffractogram is calculated, not measured: it uses a structure optimized by DFT (PBE+U) and Cu Kα.
Kinematic intensities with the Lorentz-polarization factor, no thermal factor.

Principal peaks in the range 2θ from 15° to 90°, by angle:
d (Å)	two_theta	intensity
3.378	26.38	935
3.343	26.67	907
2.595	34.57	1000
2.283	39.47	190
1.759	51.99	280
1.756	52.08	255
1.749	52.31	281
1.746	52.41	249
1.413	66.15	200
1.408	66.40	265

Cell and atoms:
a b c (Å): 9.5244 3.0971 14.2288
angles (deg): 90.00 90.61 90.00
Space group Pm (No. 6)
One atom of each set of equivalent atoms:
1 Fe 0.0000 0.0000 0.0000 [1 per cell]
2 Fe 0.0007 0.0000 0.6216 [1 per cell]
3 Fe 0.0030 0.0000 0.2965 [1 per cell]
4 Fe 0.2384 0.5000 0.1465 [1 per cell]
5 Fe 0.2509 0.5000 0.4845 [1 per cell]
6 Fe 0.2575 0.5000 0.8127 [1 per cell]
7 Fe 0.4993 0.0000 0.9643 [1 per cell]
8 Fe 0.5044 0.0000 0.6204 [1 per cell]
9 Fe 0.5337 0.0000 0.3082 [1 per cell]
10 Fe 0.7453 0.5000 0.4793 [1 per cell]
11 Fe 0.7446 0.5000 0.8167 [1 per cell]
12 Fe 0.7593 0.5000 0.1504 [1 per cell]
13 O 0.1106 0.5000 0.0364 [1 per cell]
14 O 0.1595 0.0000 0.5407 [1 per cell]
15 O 0.1625 0.0000 0.2089 [1 per cell]
16 O 0.3989 0.5000 0.9062 [1 per cell]
17 O 0.4038 0.5000 0.5784 [1 per cell]
18 O 0.6048 0.5000 0.3764 [1 per cell]
19 O 0.6527 0.0000 0.2021 [1 per cell]
20 O 0.6571 0.0000 0.8739 [1 per cell]
21 O 0.6624 0.0000 0.5422 [1 per cell]
22 O 0.8423 0.0000 0.0752 [1 per cell]
23 O 0.9058 0.5000 0.5763 [1 per cell]
24 O 0.9100 0.5000 0.2473 [1 per cell]
25 F 0.1049 0.5000 0.3764 [1 per cell]
26 F 0.1049 0.5000 0.7121 [1 per cell]
27 F 0.1524 0.0000 0.8672 [1 per cell]
28 F 0.3477 0.0000 0.4096 [1 per cell]
29 F 0.3481 0.0000 0.7437 [1 per cell]
30 F 0.3595 0.0000 0.0764 [1 per cell]
31 F 0.4062 0.5000 0.2438 [1 per cell]
32 F 0.5906 0.5000 0.0351 [1 per cell]
33 F 0.5990 0.5000 0.7091 [1 per cell]
34 F 0.8505 0.0000 0.7465 [1 per cell]
35 F 0.8608 0.0000 0.4118 [1 per cell]
36 F 0.9137 0.5000 0.9047 [1 per cell]